Record 1
Calculated X-ray diffraction stick pattern
Compound: Tl2Hg3Te4
Radiation: Cu Kα, 1.54184 Å
Structure: a cell relaxed with GGA-PBE
Lines closer than 0.1° are merged.

Crystal structure
```
data_Tl2Hg3Te4
_cell_length_a 13.1639
_cell_length_b 7.4810
_cell_length_c 14.2215
_cell_angle_alpha 90.00
_cell_angle_beta 116.97
_cell_angle_gamma 90.00
_symmetry_space_group_name_H-M 'C 1 2/c 1'
_symmetry_Int_Tables_number 15
_symmetry_space_group_name_Hall '-C 2yc'
loop_
_atom_site_label
_atom_site_fract_x
_atom_site_fract_y
_atom_site_fract_z
Tl1 0.1327 0.1621 0.0495
Hg1 0.0000 0.3887 0.7500
Hg2 0.1617 0.1259 0.3530
Te1 0.0829 0.3878 0.4361
Te2 0.1684 0.1555 0.7345
```

Most intense lines, 10° ≤ 2θ ≤ 90°, low angle first:
index, Position (°2θ), I_rel
3 1 -2, 23.78, 35
3 1 0, 25.71, 61
3 1 -3, 25.88, 25
1 1 3, 28.14, 89
4 0 0, 30.48, 16
2 2 -3, 30.97, 100
5 1 -5, 40.61, 17
6 0 -2, 41.67, 26
3 3 0, 43.03, 28
0 4 0, 48.69, 16

Record 2
Calculated X-ray diffraction stick pattern
Compound: Sm3Y3Co4
Radiation: Cu Kα, 1.54184 Å
Structure: a cell relaxed with GGA-PBE
Lines closer than 0.1° are merged.

Crystal structure
```
data_Sm3Y3Co4
_cell_length_a 4.2338
_cell_length_b 10.2585
_cell_length_c 10.3270
_cell_angle_alpha 90.00
_cell_angle_beta 90.00
_cell_angle_gamma 90.00
_symmetry_space_group_name_H-M 'A m m 2'
_symmetry_Int_Tables_number 38
_symmetry_space_group_name_Hall 'A 2 -2'
loop_
_atom_site_label
_atom_site_fract_x
_atom_site_fract_y
_atom_site_fract_z
Sm1 0.0000 0.0000 0.0000
Sm2 0.5000 0.2493 0.0818
Y1 0.0000 0.0000 0.6571
Y2 0.0000 0.1711 0.3318
Co1 0.5000 0.0000 0.2277
Co2 0.5000 0.0000 0.4452
Co3 0.5000 0.1096 0.8268
```

Most intense lines, 10° ≤ 2θ ≤ 90°, low angle first:
index, Position (°2θ), I_rel
1 2 0, 27.30, 37
1 2 2, 32.44, 100
1 1 3, 34.71, 67
1 3 1, 34.83, 51
0 2 4, 39.06, 31
0 4 2, 39.22, 31
2 0 0, 42.71, 32
2 2 4, 59.25, 18
2 4 2, 59.37, 18
1 4 6, 69.40, 19

Record 3
Calculated X-ray diffraction stick pattern
Compound: Sm5Dy12Pu
Radiation: Cu Kα, 1.54184 Å
Structure: a cell relaxed with GGA-PBE
Lines closer than 0.1° are merged.

Crystal structure
```
data_Sm5Dy12Pu
_cell_length_a 18.4731
_cell_length_b 10.6682
_cell_length_c 6.1612
_cell_angle_alpha 90.00
_cell_angle_beta 109.41
_cell_angle_gamma 90.00
_symmetry_space_group_name_H-M 'C 1 2/m 1'
_symmetry_Int_Tables_number 12
_symmetry_space_group_name_Hall '-C 2y'
loop_
_atom_site_label
_atom_site_fract_x
_atom_site_fract_y
_atom_site_fract_z
Sm1 0.0000 0.0000 0.0000
Sm2 0.1651 0.5000 0.9927
Sm3 0.1670 0.0000 0.5012
Dy1 0.0000 0.1707 0.5000
Dy2 0.0000 0.3357 0.0000
Dy3 0.1650 0.3342 0.4992
Dy4 0.1669 0.1672 0.0013
Pu1 0.0000 0.5000 0.5000
```

Most intense lines, 10° ≤ 2θ ≤ 90°, low angle first:
index, Position (°2θ), I_rel
6 0 0, 30.79, 100
3 3 1, 35.70, 51
6 0 2, 51.38, 36
3 3 3, 61.07, 7
12 0 -2, 61.11, 36
12 0 0, 64.14, 12
12 0 -4, 75.63, 6
6 6 -4, 83.82, 12
15 3 -1, 83.87, 6
9 3 -5, 86.53, 14

Record 4
Calculated X-ray diffraction stick pattern
Compound: Sc6Sb3As2Se
Radiation: Cu Kα, 1.54184 Å
Structure: a cell relaxed with GGA-PBE
Lines closer than 0.1° are merged.

Crystal structure
```
data_Sc6Sb3As2Se
_cell_length_a 17.5582
_cell_length_b 4.0035
_cell_length_c 8.0804
_cell_angle_alpha 90.00
_cell_angle_beta 103.95
_cell_angle_gamma 90.00
_symmetry_space_group_name_H-M 'C 1 2/m 1'
_symmetry_Int_Tables_number 12
_symmetry_space_group_name_Hall '-C 2y'
loop_
_atom_site_label
_atom_site_fract_x
_atom_site_fract_y
_atom_site_fract_z
Sc1 0.0059 0.0000 0.2455
Sc2 0.1652 0.5000 0.0972
Sc3 0.1716 0.5000 0.5711
Sb1 0.0000 0.5000 0.5000
Sb2 0.1650 0.0000 0.8330
As1 0.1667 0.0000 0.3324
Se1 0.0000 0.5000 0.0000
```

Most intense lines, 10° ≤ 2θ ≤ 90°, low angle first:
index, Position (°2θ), I_rel
4 0 -2, 26.94, 7
2 0 2, 27.25, 21
1 1 -2, 31.47, 100
7 1 -2, 44.91, 35
0 2 0, 45.31, 35
6 2 0, 56.21, 18
2 2 -4, 65.67, 7
8 2 -4, 74.34, 10
1 3 -2, 74.96, 15
7 3 -2, 83.38, 7

> What is the formula in the fourth record?

Sc6Sb3As2Se

> Number 4 is which compound?

Sc6Sb3As2Se